# NaLa2Ru
Simulated PXRD pattern, Cu Kα. Input: a GGA-PBE-relaxed structure.

Main lines, by angle (2θ from 15° to 90°):
| h k l | 2theta | I_rel |
| --- | --- | --- |
| 0 1 2 | 25.59 | 19 |
| 1 0 4 | 27.84 | 26 |
| 0 1 5 | 29.42 | 100 |
| 0 1 8 | 35.53 | 47 |
| 1 0 10 | 40.46 | 23 |
| 1 1 0 | 43.67 | 41 |
| 1 1 3 | 44.76 | 24 |
| 1 0 13 | 48.73 | 28 |
| 2 0 5 | 53.54 | 18 |
| 1 2 5 | 71.48 | 15 |

Structure:
```
12
Lattice="4.1450 0.0000 0.0000 -2.0725 3.5897 0.0000 0.0000 0.0000 28.4506" Properties=species:S:1:pos:R:3 pbc="T T T"
Na 0.0000 0.0000 0.0000
Na 0.0000 2.3931 18.9670
Na 2.0725 1.1966 9.4835
La 0.0000 0.0000 15.7126
La 0.0000 0.0000 22.1675
La 0.0000 2.3931 6.2291
La 0.0000 2.3931 12.6840
La 2.0725 1.1966 3.2005
La 2.0725 1.1966 25.1961
Ru 0.0000 0.0000 4.7075
Ru 0.0000 2.3931 23.6745
Ru 2.0725 1.1966 14.1910
```